Computed XRD peak list
Compound: CaMg4Ag4
Radiation: CuKα
Structure: a GGA-PBE-relaxed structure
Kinematic intensities with the Lorentz-polarization factor, no thermal factor.

Largest 10 diffraction maxima, in order of rising 2θ, 5 to 70 degrees two-theta:
d (Å)	I/Imax	(hkl)
4.665	76	2 0 0
3.299	36	2 2 0
3.223	95	2 1 1
2.951	43	3 1 0
2.538	43	0 0 2
2.306	39	3 2 1
2.230	22	2 0 2
2.067	100	1 4 1
1.924	24	3 1 2
1.355	41	1 4 3

Cell and atoms:
```
data_CaMg4Ag4
_chemical_formula_sum 'Ca2 Mg8 Ag8'
_cell_length_a 9.3306
_cell_length_b 9.3306
_cell_length_c 5.0762
_cell_angle_alpha 90.00
_cell_angle_beta 90.00
_cell_angle_gamma 90.00
_space_group_name_H-M_alt 'I 4/m'
_space_group_IT_number 87
_space_group_name_Hall '-I 4'
loop_
_atom_site_label
_atom_site_fract_x
_atom_site_fract_y
_atom_site_fract_z
Ca1 0.0000 0.0000 0.0000
Mg1 0.0997 0.6207 0.5000
Ag1 0.1798 0.6974 0.0000
```